Record 1
Diffraction record for La4PdO7. The X-ray powder pattern is calculated, not measured: it uses a DFT-relaxed cell (PBE, the Materials Project) and Cu Kα.
No peak broadening, texture or thermal motion is included.

Most intense lines, 2θ = 10–90°, in order of rising 2θ:
Position (°2θ), d (Å), Rel. int.
29.2, 3.058, 37
29.6, 3.016, 57
29.8, 2.996, 100
30.5, 2.930, 64
44.3, 2.046, 26
44.4, 2.040, 22
53.6, 1.711, 30
54.2, 1.693, 21

Atomic structure:
a b c (Å): 7.004 7.004 9.423
angles (deg): 130.72 130.72 33.98
Fractional positions:
La  0.085  0.085  0.389
La  0.249  0.249  0.160
La  0.751  0.751  0.840
La  0.915  0.915  0.611
Pd  0.500  0.500  0.000
O  0.000  0.000  0.000
O  0.132  0.132  0.693
O  0.297  0.297  0.447
O  0.410  0.410  0.110
O  0.590  0.590  0.890
O  0.703  0.703  0.553
O  0.868  0.868  0.307



Record 2
Diffraction record for SmYMn4Ge4. The X-ray powder pattern is calculated, not measured: it uses a DFT-relaxed cell (PBE, the Materials Project) and Cu Kα.
No peak broadening, texture or thermal motion is included.

Most intense lines, 2θ = 10–90°, in order of rising 2θ:
Position (°2θ), d (Å), Rel. int.
31.9, 2.806, 30
33.5, 2.676, 100
36.0, 2.493, 99
45.7, 1.984, 63
47.7, 1.907, 44
57.9, 1.594, 41
68.2, 1.375, 30
78.2, 1.223, 24

Atomic structure:
a b c (Å): 3.968 3.968 10.874
angles (deg): 90.00 90.00 90.00
Fractional positions:
Sm  0.000  0.000  0.000
Y  0.500  0.500  0.500
Mn  0.000  0.500  0.251
Mn  0.000  0.500  0.749
Mn  0.500  0.000  0.251
Mn  0.500  0.000  0.749
Ge  0.000  0.000  0.380
Ge  0.000  0.000  0.620
Ge  0.500  0.500  0.122
Ge  0.500  0.500  0.878



Record 3
Diffraction record for Sm6MgSb10O24. The X-ray powder pattern is calculated, not measured: it uses a DFT-relaxed cell (PBE, the Materials Project) and Cu Kα.
No peak broadening, texture or thermal motion is included.

Most intense lines, 2θ = 10–90°, in order of rising 2θ:
Position (°2θ), d (Å), Rel. int.
11.2, 7.888, 14
27.7, 3.220, 100
32.1, 2.789, 36
46.0, 1.972, 44
54.6, 1.682, 37
57.2, 1.610, 9
74.1, 1.280, 12
76.4, 1.247, 11

Atomic structure:
a b c (Å): 9.661 9.661 9.661
angles (deg): 109.47 109.47 109.47
Fractional positions:
Sm  0.250  0.500  0.750
Sm  0.250  0.750  0.500
Sm  0.500  0.250  0.750
Sm  0.500  0.750  0.250
Sm  0.750  0.250  0.500
Sm  0.750  0.500  0.250
Mg  0.000  0.000  0.000
Sb  0.000  0.000  0.506
Sb  0.000  0.289  0.289
Sb  0.000  0.506  0.000
Sb  0.000  0.711  0.711
Sb  0.289  0.000  0.289
Sb  0.289  0.289  0.000
Sb  0.494  0.494  0.494
Sb  0.506  0.000  0.000
Sb  0.711  0.000  0.711
Sb  0.711  0.711  0.000
O  0.000  0.199  0.474
O  0.000  0.474  0.199
O  0.000  0.502  0.705
O  0.000  0.705  0.502
O  0.199  0.000  0.474
O  0.199  0.474  0.000
O  0.203  0.498  0.498
O  0.276  0.801  0.801
O  0.295  0.295  0.797
O  0.295  0.797  0.295
O  0.474  0.000  0.199
O  0.474  0.199  0.000
O  0.498  0.203  0.498
O  0.498  0.498  0.203
O  0.502  0.000  0.705
O  0.502  0.705  0.000
O  0.526  0.526  0.724
O  0.526  0.724  0.526
O  0.705  0.000  0.502
O  0.705  0.502  0.000
O  0.724  0.526  0.526
O  0.797  0.295  0.295
O  0.801  0.276  0.801
O  0.801  0.801  0.276



Record 4
Diffraction record for MgCo4S8. The X-ray powder pattern is calculated, not measured: it uses a DFT-relaxed cell (PBE, the Materials Project) and Cu Kα.
No peak broadening, texture or thermal motion is included.

Most intense lines, 2θ = 10–90°, in order of rising 2θ:
Position (°2θ), d (Å), Rel. int.
16.0, 5.523, 60
16.3, 5.442, 38
31.0, 2.888, 12
37.8, 2.383, 100
54.1, 1.694, 30
54.8, 1.676, 29
56.9, 1.618, 10
67.9, 1.381, 14

Atomic structure:
a b c (Å): 6.703 6.703 6.703
angles (deg): 60.73 60.73 60.73
Fractional positions:
Mg  0.000  0.000  0.000
Co  0.000  0.500  0.500
Co  0.500  0.000  0.500
Co  0.500  0.500  0.000
Co  0.500  0.500  0.500
S  0.264  0.264  0.264
S  0.264  0.264  0.707
S  0.264  0.707  0.264
S  0.293  0.736  0.736
S  0.707  0.264  0.264
S  0.736  0.293  0.736
S  0.736  0.736  0.293
S  0.736  0.736  0.736